Structure and theoretical PXRD pattern of Mn4ZnO9 (the PBE+U geometry in Alexandria; Cu Kα X-rays).

The 10 most intense peaks (10 to 90 degrees two-theta), low angle first:
2theta	I/Imax
18.79	28.4
23.97	72.7
28.25	43.0
30.19	100.0
33.35	71.2
45.21	36.5
47.88	54.8
51.87	21.0
57.65	25.1
69.16	23.8

Crystal structure
a = 8.4971 Å, b = 8.4971 Å, c = 4.7232 Å
α = 90.00°, β = 90.00°, γ = 90.00°
Space group P4/n (No. 85, origin choice 2)
Inequivalent atoms, fractional coordinates:
Mn 0.0377 0.8460 0.1287 (multiplicity 8)
Zn 0.2500 0.2500 0.4688 (multiplicity 2)
O 0.0237 0.1876 0.5198 (multiplicity 8)
O 0.0352 0.3577 0.0010 (multiplicity 8)
O 0.2500 0.7500 0.0000 (multiplicity 2)